[1]
Structure and computed powder diffraction line list of RbMg14TiO16 (a PBE-relaxed structure; Cu Kα X-rays).
No peak broadening, texture or thermal motion is included.

Structural model:
```
RbMg14TiO16
1.0
8.6888 0.0000 0.0000
0.0000 8.6888 0.0000
0.0000 0.0000 4.4430
Rb Mg Ti O
1 14 1 16
direct
0.0000 0.0000 0.0000
0.0000 0.2534 0.5000
0.0000 0.5000 0.0000
0.0000 0.7466 0.5000
0.2457 0.5000 0.5000
0.2478 0.2478 0.0000
0.2478 0.7522 0.0000
0.2534 0.0000 0.5000
0.5000 0.0000 0.0000
0.5000 0.2457 0.5000
0.5000 0.7543 0.5000
0.7466 0.0000 0.5000
0.7522 0.2478 0.0000
0.7522 0.7522 0.0000
0.7543 0.5000 0.5000
0.5000 0.5000 0.0000
0.0000 0.0000 0.5000
0.0000 0.2813 0.0000
0.0000 0.5000 0.5000
0.0000 0.7187 0.0000
0.2515 0.2515 0.5000
0.2515 0.7485 0.5000
0.2619 0.5000 0.0000
0.2813 0.0000 0.0000
0.5000 0.0000 0.5000
0.5000 0.2619 0.0000
0.5000 0.5000 0.5000
0.5000 0.7381 0.0000
0.7187 0.0000 0.0000
0.7381 0.5000 0.0000
0.7485 0.2515 0.5000
0.7485 0.7485 0.5000
```

Principal peaks in the range 15 to 90 degrees two-theta, sorted by position:
hkl 2 0 0, 2θ = 20.44°, I 9
hkl 1 1 1, 2θ = 24.73°, I 9
hkl 2 0 1, 2θ = 28.74°, I 8
hkl 2 2 1, 2θ = 35.53°, I 32
hkl 0 0 2, 2θ = 40.61°, I 56
hkl 4 0 0, 2θ = 41.58°, I 100
hkl 4 0 2, 2θ = 59.52°, I 60
hkl 4 4 0, 2θ = 60.25°, I 28
hkl 6 2 1, 2θ = 71.94°, I 13
hkl 4 4 2, 2θ = 75.21°, I 26


[2]
Structure and computed powder diffraction line list of RbMg14TiO16 (a PBE-relaxed structure; Cu Kα X-rays).
No peak broadening, texture or thermal motion is included.

Structural model:
```
RbMg14TiO16
1.0
4.4695 0.0000 0.0000
0.0000 8.6458 0.0000
0.0000 0.0000 8.7087
Rb Mg Ti O
1 14 1 16
direct
0.0000 0.0000 0.0000
0.0000 0.0000 0.5000
0.0000 0.2485 0.2590
0.0000 0.2485 0.7410
0.0000 0.5000 0.5000
0.0000 0.7515 0.2590
0.0000 0.7515 0.7410
0.5000 0.0000 0.2548
0.5000 0.0000 0.7452
0.5000 0.2470 0.0000
0.5000 0.2492 0.5000
0.5000 0.5000 0.2522
0.5000 0.5000 0.7478
0.5000 0.7508 0.5000
0.5000 0.7530 0.0000
0.0000 0.5000 0.0000
0.0000 0.0000 0.2806
0.0000 0.0000 0.7194
0.0000 0.2584 0.5000
0.0000 0.2820 0.0000
0.0000 0.5000 0.2523
0.0000 0.5000 0.7477
0.0000 0.7180 0.0000
0.0000 0.7416 0.5000
0.5000 0.0000 0.0000
0.5000 0.0000 0.5000
0.5000 0.2510 0.2488
0.5000 0.2510 0.7512
0.5000 0.5000 0.0000
0.5000 0.5000 0.5000
0.5000 0.7490 0.2488
0.5000 0.7490 0.7512
```

Principal peaks in the range 15 to 90 degrees two-theta, sorted by position:
hkl 1 2 1, 2θ = 30.54°, I 13
hkl 1 2 2, 2θ = 35.49°, I 56
hkl 2 0 0, 2θ = 40.36°, I 100
hkl 0 0 4, 2θ = 41.48°, I 89
hkl 0 4 0, 2θ = 41.79°, I 89
hkl 2 0 4, 2θ = 59.25°, I 54
hkl 2 4 0, 2θ = 59.50°, I 53
hkl 0 4 4, 2θ = 60.34°, I 49
hkl 1 6 2, 2θ = 72.22°, I 12
hkl 2 4 4, 2θ = 75.12°, I 47